Entry 1:
The following is a computed PXRD pattern of Sm3TlSe6. It was derived from a GGA-PBE-relaxed structure, using Cu Kα (weighted mean of Kα1 and Kα2).
Intensities are scaled so that the largest is 100.

Principal peaks in the range 5° ≤ 2θ ≤ 70°, in order of rising 2θ:
- 2θ 23.59, d = 3.771 Å, rel. 100.0, hkl 2 2 1
- 2θ 23.85, d = 3.731 Å, rel. 63.5, hkl 1 3 1
- 2θ 32.35, d = 2.767 Å, rel. 37.7, hkl 2 2 2
- 2θ 32.64, d = 2.743 Å, rel. 59.6, hkl 3 3 1
- 2θ 35.25, d = 2.546 Å, rel. 57.6, hkl 3 1 2
- 2θ 35.79, d = 2.509 Å, rel. 31.6, hkl 0 4 2
- 2θ 39.40, d = 2.287 Å, rel. 65.9, hkl 3 5 0
- 2θ 45.83, d = 1.980 Å, rel. 48.8, hkl 3 1 3

```
data_Sm3TlSe6
_chemical_formula_sum 'Sm12 Tl4 Se24'
_symmetry_space_group_name_H-M 'C m c 21'
_symmetry_Int_Tables_number 36
_cell_length_a 11.436
_cell_length_b 14.290
_cell_length_c 7.048
_cell_angle_alpha 90.00
_cell_angle_beta 90.00
_cell_angle_gamma 90.00
loop_
_symmetry_equiv_pos_as_xyz
'x,y,z'
'-x,-y,z+1/2'
'-x,y,z'
'x,-y,z+1/2'
'x+1/2,y+1/2,z'
'-x+1/2,-y+1/2,z+1/2'
'-x+1/2,y+1/2,z'
'x+1/2,-y+1/2,z+1/2'
loop_
_atom_site_label
_atom_site_type_symbol
_atom_site_fract_x
_atom_site_fract_y
_atom_site_fract_z
_atom_site_occupancy
Sm1 Sm 0.000 0.093 0.000 1
Sm2 Sm 0.185 0.403 0.900 1
Tl1 Tl 0.000 0.297 0.380 1
Se1 Se 0.000 0.277 0.755 1
Se2 Se 0.000 0.470 0.202 1
Se3 Se 0.163 0.034 0.703 1
Se4 Se 0.176 0.228 0.164 1
```

Entry 2:
The following is a computed PXRD pattern of Cs5Hg4Bi2. It was derived from a GGA-PBE-relaxed structure, using Cu Kα (weighted mean of Kα1 and Kα2).
Intensities are scaled so that the largest is 100.

Principal peaks in the range 5° ≤ 2θ ≤ 70°, in order of rising 2θ:
- 2θ 19.43, d = 4.568 Å, rel. 42.6, hkl 0 2 0
- 2θ 21.47, d = 4.139 Å, rel. 69.2, hkl 0 2 1
- 2θ 24.73, d = 3.599 Å, rel. 61.7, hkl 2 2 -1
- 2θ 27.29, d = 3.268 Å, rel. 83.4, hkl 2 0 -3
- 2θ 27.81, d = 3.208 Å, rel. 78.5, hkl 2 2 1
- 2θ 28.07, d = 3.179 Å, rel. 100.0, hkl 2 2 -2
- 2θ 39.46, d = 2.284 Å, rel. 37.7, hkl 0 4 0
- 2θ 41.91, d = 2.156 Å, rel. 41.8, hkl 0 2 4

```
data_Cs5Hg4Bi2
_chemical_formula_sum 'Cs10 Hg8 Bi4'
_symmetry_space_group_name_H-M 'C 1 2/m 1'
_symmetry_Int_Tables_number 12
_cell_length_a 12.262
_cell_length_b 9.135
_cell_length_c 10.198
_cell_angle_alpha 90.00
_cell_angle_beta 106.45
_cell_angle_gamma 90.00
loop_
_symmetry_equiv_pos_as_xyz
'x,y,z'
'-x,-y,-z'
'-x,y,-z'
'x,-y,z'
'x+1/2,y+1/2,z'
'-x+1/2,-y+1/2,-z'
'-x+1/2,y+1/2,-z'
'x+1/2,-y+1/2,z'
loop_
_atom_site_label
_atom_site_type_symbol
_atom_site_fract_x
_atom_site_fract_y
_atom_site_fract_z
_atom_site_occupancy
Cs1 Cs 0.000 0.000 0.000 1
Cs2 Cs 0.094 0.255 0.365 1
Hg1 Hg 0.126 0.500 0.046 1
Hg2 Hg 0.172 0.500 0.762 1
Bi1 Bi 0.172 0.000 0.722 1
```